[1]
Starting from a crystal structure in OQMD, relaxed with PBE, the PXRD pattern of Lu2Re3Ir was simulated for Cu Ka.
Intensities are scaled so that the largest is 100.

Most intense lines, 10° ≤ 2θ ≤ 90°, in order of rising 2θ:
| 2θ (°) | d (Å) | I (rel.) |
| --- | --- | --- |
| 35.7 | 2.516 | 66.3 |
| 39.8 | 2.264 | 100.0 |
| 41.1 | 2.194 | 78.6 |
| 62.4 | 1.489 | 23.5 |
| 65.9 | 1.416 | 31.5 |
| 72.4 | 1.306 | 25.1 |

Atomic structure:
```
Lu2Re3Ir
1.0
5.2221 0.0000 0.0000
-2.6110 4.5225 0.0000
0.0000 0.0000 9.0860
Lu Re Ir
4 6 2
Direct
0.3333 0.6667 0.0637 Lu
0.3333 0.6667 0.4363 Lu
0.6667 0.3333 0.5637 Lu
0.6667 0.3333 0.9363 Lu
0.1707 0.3414 0.7500 Re
0.1707 0.8293 0.7500 Re
0.3414 0.1707 0.2500 Re
0.6586 0.8293 0.7500 Re
0.8293 0.1707 0.2500 Re
0.8293 0.6586 0.2500 Re
0.0000 0.0000 0.0000 Ir
0.0000 0.0000 0.5000 Ir
```

***

[2]
Starting from a crystal structure in OQMD, relaxed with PBE, the PXRD pattern of AgIrS6 was simulated for Cu Ka.
Intensities are scaled so that the largest is 100.

Most intense lines, 10° ≤ 2θ ≤ 90°, in order of rising 2θ:
| 2θ (°) | d (Å) | I (rel.) |
| --- | --- | --- |
| 17.8 | 4.989 | 100.0 |
| 29.2 | 3.055 | 68.1 |
| 34.4 | 2.605 | 80.4 |
| 41.8 | 2.160 | 53.1 |
| 45.8 | 1.982 | 46.4 |
| 60.6 | 1.528 | 32.6 |

Atomic structure:
```
AgIrS6
1.0
0.0000 4.3206 4.3206
4.3206 0.0000 4.3206
4.3206 4.3206 0.0000
Ag Ir S
1 1 6
Direct
0.0000 0.0000 0.0000 Ag
0.2500 0.2500 0.2500 Ir
0.5220 0.5220 0.9780 S
0.5220 0.9780 0.5220 S
0.5220 0.9780 0.9780 S
0.9780 0.5220 0.5220 S
0.9780 0.5220 0.9780 S
0.9780 0.9780 0.5220 S
```

***

[3]
Starting from a crystal structure in OQMD, relaxed with PBE, the PXRD pattern of Hf3Tl4As4 was simulated for Cu Ka.
Intensities are scaled so that the largest is 100.

Most intense lines, 10° ≤ 2θ ≤ 90°, in order of rising 2θ:
| 2θ (°) | d (Å) | I (rel.) |
| --- | --- | --- |
| 28.9 | 3.085 | 41.9 |
| 29.6 | 3.014 | 39.2 |
| 33.4 | 2.681 | 31.2 |
| 33.9 | 2.644 | 100.0 |
| 37.1 | 2.425 | 33.6 |
| 37.5 | 2.395 | 35.9 |

Atomic structure:
```
Hf3Tl4As4
1.0
7.7958 0.0000 0.0000
0.0000 3.7278 0.0000
-1.3097 0.0000 9.2551
Hf Tl As
3 4 4
Direct
0.0000 0.0000 0.0000 Hf
0.2198 0.5000 0.4775 Hf
0.7300 0.5000 0.5478 Hf
0.1858 0.5000 0.7939 Tl
0.4321 0.5000 0.1469 Tl
0.5197 0.0000 0.8488 Tl
0.7686 0.0000 0.2423 Tl
0.0838 0.5000 0.2027 As
0.4743 0.0000 0.5046 As
0.8130 0.5000 0.8357 As
0.9821 0.0000 0.5348 As
```

***

[4]
Starting from a crystal structure in OQMD, relaxed with PBE, the PXRD pattern of Gd2DyTmGa2 was simulated for Cu Ka.
Intensities are scaled so that the largest is 100.

Most intense lines, 10° ≤ 2θ ≤ 90°, in order of rising 2θ:
| 2θ (°) | d (Å) | I (rel.) |
| --- | --- | --- |
| 24.0 | 3.707 | 19.2 |
| 33.7 | 2.659 | 100.0 |
| 34.7 | 2.584 | 95.0 |
| 49.2 | 1.853 | 34.6 |
| 61.6 | 1.506 | 35.1 |
| 67.2 | 1.393 | 27.6 |

Atomic structure:
```
Gd2DyTmGa2
1.0
5.1685 0.0000 0.0000
-2.5843 4.4761 0.0000
0.0000 0.0000 6.6122
Gd Dy Tm Ga
2 1 1 2
Direct
0.0000 0.0000 0.2479 Gd
0.0000 0.0000 0.7521 Gd
0.3333 0.6667 0.5000 Dy
0.6667 0.3333 0.0000 Tm
0.3333 0.6667 0.0000 Ga
0.6667 0.3333 0.5000 Ga
```